Calculated powder X-ray diffraction pattern of TiNiO6F6 for Cu Kα (λ = 1.5418 Å), from DFT lattice parameters and positions (GGA+U).
Lines closer than 0.1° are merged.

Crystal structure
a b c (Å): 5.5785 5.5785 5.5785
angles (deg): 96.15 96.15 96.15
Atoms (fractional coordinates):
Ti1 0.0000 0.0000 0.0000
Ni1 0.5000 0.5000 0.5000
O1 0.1843 0.3923 0.5420
O2 0.3923 0.5420 0.1843
O3 0.4580 0.8157 0.6077
O4 0.5420 0.1843 0.3923
O5 0.6077 0.4580 0.8157
O6 0.8157 0.6077 0.4580
F1 0.0717 0.7097 0.8293
F2 0.1707 0.9283 0.2903
F3 0.2903 0.1707 0.9283
F4 0.7097 0.8293 0.0717
F5 0.8293 0.0717 0.7097
F6 0.9283 0.2903 0.1707

Peak list (6 most intense, 15° ≤ 2θ ≤ 90°, sorted by position)
2θ/deg	I_rel
21.41	100
24.19	56
39.27	81
50.49	20
54.57	32
58.87	20